Entry 1:
For Tl3Cu, a cell relaxed with PBE gives the simulated powder diffraction line list in this record (CuKα).
Kinematic intensities with the Lorentz-polarization factor, no thermal factor.

Structural model:
```
Tl3Cu
1.0
-2.286 2.286 4.986
2.286 -2.286 4.986
2.286 2.286 -4.986
Tl Cu
3 1
Direct
0.000 0.000 0.000
0.250 0.750 0.500
0.750 0.250 0.500
0.500 0.500 0.000
```

Largest 8 diffraction maxima, by angle, 2θ from 10° to 90°:
2θ (°), d [Å], Rel. int.
33.0, 2.713, 100
36.0, 2.493, 20
39.4, 2.286, 31
54.5, 1.685, 25
62.9, 1.478, 16
67.4, 1.389, 26
69.3, 1.356, 12
89.9, 1.091, 13

***

Entry 2:
For TmCu2, a cell relaxed with PBE gives the simulated powder diffraction line list in this record (CuKα).
Kinematic intensities with the Lorentz-polarization factor, no thermal factor.

Structural model:
```
TmCu2
1.0
-2.144 3.334 3.602
2.144 -3.334 3.602
2.144 3.334 -3.602
Tm Cu
2 4
Direct
0.293 0.043 0.250
0.707 0.957 0.750
0.117 0.665 0.452
0.286 0.335 0.952
0.714 0.665 0.048
0.883 0.335 0.548
```

Largest 8 diffraction maxima, by angle, 2θ from 10° to 90°:
2θ (°), d [Å], Rel. int.
24.2, 3.685, 24
35.2, 2.549, 34
36.3, 2.472, 100
36.7, 2.447, 40
42.2, 2.144, 32
43.2, 2.095, 41
57.1, 1.612, 29
70.8, 1.330, 16